Structure and calculated powder diffraction line list of Tm2Ge3Os (a structure optimized by DFT (GGA-PBE); Cu Kα).

Main lines, low angle first (10° ≤ 2θ ≤ 80°):
2θ 23.2, d = 3.828 Å, I = 250
2θ 32.9, d = 2.720 Å, I = 483
2θ 33.7, d = 2.656 Å, I = 401
2θ 33.9, d = 2.644 Å, I = 335
2θ 34.6, d = 2.591 Å, I = 741
2θ 35.4, d = 2.534 Å, I = 1000
2θ 40.3, d = 2.240 Å, I = 692
2θ 41.1, d = 2.196 Å, I = 599
2θ 41.4, d = 2.180 Å, I = 267
2θ 67.8, d = 1.383 Å, I = 250

Atomic structure:
Cell lengths 5.552, 5.552, 6.905 Å; angles 126.20, 126.20, 46.59 degrees
Atoms (fractional coordinates):
Tm 0.000 0.000 0.000
Tm 0.111 0.111 0.609
Ge 0.376 0.376 0.198
Ge 0.676 0.676 0.953
Ge 0.735 0.735 0.408
Os 0.376 0.376 0.569

=====

Structure and calculated powder diffraction line list of Tm4Ge6Os7 (a structure optimized by DFT (GGA-PBE); Cu Kα).

Main lines, low angle first (10° ≤ 2θ ≤ 80°):
2θ 26.2, d = 3.399 Å, I = 227
2θ 30.4, d = 2.944 Å, I = 120
2θ 37.4, d = 2.403 Å, I = 1000
2θ 40.5, d = 2.225 Å, I = 361
2θ 43.5, d = 2.081 Å, I = 691
2θ 51.5, d = 1.775 Å, I = 168
2θ 63.2, d = 1.472 Å, I = 406
2θ 75.8, d = 1.255 Å, I = 311
2θ 77.8, d = 1.228 Å, I = 104
2θ 79.8, d = 1.202 Å, I = 123

Atomic structure:
Cell lengths 7.210, 7.210, 7.210 Å; angles 109.47, 109.47, 109.47 degrees
Atoms (fractional coordinates):
Tm 0.000 0.000 0.500
Tm 0.000 0.500 0.000
Tm 0.500 0.000 0.000
Tm 0.500 0.500 0.500
Ge 0.000 0.310 0.310
Ge 0.000 0.690 0.690
Ge 0.310 0.000 0.310
Ge 0.310 0.310 0.000
Ge 0.690 0.000 0.690
Ge 0.690 0.690 0.000
Os 0.000 0.000 0.000
Os 0.250 0.500 0.750
Os 0.250 0.750 0.500
Os 0.500 0.250 0.750
Os 0.500 0.750 0.250
Os 0.750 0.250 0.500
Os 0.750 0.500 0.250

=====

Structure and calculated powder diffraction line list of U2GeOs (a structure optimized by DFT (GGA-PBE); Cu Kα).

Main lines, low angle first (10° ≤ 2θ ≤ 80°):
2θ 35.4, d = 2.535 Å, I = 614
2θ 38.8, d = 2.319 Å, I = 1000
2θ 39.3, d = 2.294 Å, I = 486
2θ 40.7, d = 2.219 Å, I = 910
2θ 53.9, d = 1.701 Å, I = 377
2θ 64.6, d = 1.443 Å, I = 204
2θ 70.9, d = 1.329 Å, I = 193
2θ 72.1, d = 1.309 Å, I = 176
2θ 74.9, d = 1.267 Å, I = 171
2θ 78.2, d = 1.222 Å, I = 268

Atomic structure:
Cell lengths 4.588, 5.751, 5.375 Å; angles 90.00, 90.00, 90.00 degrees
Atoms (fractional coordinates):
U 0.250 0.009 0.130
U 0.250 0.491 0.130
U 0.750 0.509 0.870
U 0.750 0.991 0.870
Ge 0.250 0.250 0.622
Ge 0.750 0.750 0.378
Os 0.250 0.750 0.626
Os 0.750 0.250 0.374

=====

Structure and calculated powder diffraction line list of V4Ge4Os (a structure optimized by DFT (GGA-PBE); Cu Kα).

Main lines, low angle first (10° ≤ 2θ ≤ 80°):
2θ 22.0, d = 4.049 Å, I = 342
2θ 23.8, d = 3.734 Å, I = 158
2θ 32.6, d = 2.745 Å, I = 212
2θ 37.3, d = 2.409 Å, I = 497
2θ 38.1, d = 2.361 Å, I = 390
2θ 40.8, d = 2.211 Å, I = 1000
2θ 47.8, d = 1.903 Å, I = 403
2θ 52.0, d = 1.760 Å, I = 153
2θ 54.4, d = 1.686 Å, I = 274
2θ 69.7, d = 1.350 Å, I = 196

Atomic structure:
Cell lengths 5.804, 5.804, 5.804 Å; angles 99.92, 99.92, 130.94 degrees
Atoms (fractional coordinates):
V 0.117 0.797 0.914
V 0.203 0.117 0.320
V 0.797 0.883 0.680
V 0.883 0.203 0.086
Ge 0.166 0.447 0.613
Ge 0.447 0.834 0.280
Ge 0.553 0.166 0.720
Ge 0.834 0.553 0.387
Os 0.500 0.500 0.000

=====

Structure and calculated powder diffraction line list of V6GeOs (a structure optimized by DFT (GGA-PBE); Cu Kα).

Main lines, low angle first (10° ≤ 2θ ≤ 80°):
2θ 18.6, d = 4.772 Å, I = 256
2θ 26.4, d = 3.374 Å, I = 451
2θ 32.5, d = 2.755 Å, I = 77
2θ 37.7, d = 2.386 Å, I = 463
2θ 42.4, d = 2.134 Å, I = 527
2θ 46.6, d = 1.948 Å, I = 1000
2θ 54.4, d = 1.687 Å, I = 69
2θ 61.4, d = 1.509 Å, I = 98
2θ 71.3, d = 1.323 Å, I = 98
2θ 74.4, d = 1.275 Å, I = 483

Atomic structure:
Cell lengths 4.772, 4.772, 4.772 Å; angles 90.00, 90.00, 90.00 degrees
Atoms (fractional coordinates):
V 0.000 0.247 0.500
V 0.000 0.753 0.500
V 0.247 0.500 0.000
V 0.500 0.000 0.247
V 0.500 0.000 0.753
V 0.753 0.500 0.000
Ge 0.500 0.500 0.500
Os 0.000 0.000 0.000

=====

Structure and calculated powder diffraction line list of VGe2Os2 (a structure optimized by DFT (GGA-PBE); Cu Kα).

Main lines, low angle first (10° ≤ 2θ ≤ 80°):
2θ 17.5, d = 5.059 Å, I = 234
2θ 27.9, d = 3.200 Å, I = 266
2θ 35.8, d = 2.507 Å, I = 78
2θ 39.8, d = 2.263 Å, I = 423
2θ 42.2, d = 2.143 Å, I = 1000
2θ 51.1, d = 1.789 Å, I = 126
2θ 54.4, d = 1.686 Å, I = 132
2θ 62.4, d = 1.487 Å, I = 118
2θ 78.6, d = 1.217 Å, I = 114
2θ 79.4, d = 1.207 Å, I = 243

Atomic structure:
Cell lengths 7.155, 7.155, 2.887 Å; angles 90.00, 90.00, 90.00 degrees
Atoms (fractional coordinates):
V 0.000 0.000 0.000
V 0.500 0.500 0.000
Ge 0.150 0.350 0.000
Ge 0.350 0.850 0.000
Ge 0.650 0.150 0.000
Ge 0.850 0.650 0.000
Os 0.150 0.650 0.500
Os 0.350 0.150 0.500
Os 0.650 0.850 0.500
Os 0.850 0.350 0.500

=====

Structure and calculated powder diffraction line list of VGeOs (a structure optimized by DFT (GGA-PBE); Cu Kα).

Main lines, low angle first (10° ≤ 2θ ≤ 80°):
2θ 13.6, d = 6.525 Å, I = 454
2θ 28.0, d = 3.187 Å, I = 305
2θ 29.5, d = 3.032 Å, I = 306
2θ 30.4, d = 2.943 Å, I = 287
2θ 37.5, d = 2.399 Å, I = 276
2θ 40.7, d = 2.219 Å, I = 309
2θ 41.5, d = 2.175 Å, I = 649
2θ 41.8, d = 2.162 Å, I = 1000
2θ 42.4, d = 2.133 Å, I = 292
2θ 42.8, d = 2.112 Å, I = 991

Atomic structure:
Cell lengths 4.443, 2.943, 6.796 Å; angles 90.00, 106.22, 90.00 degrees
Atoms (fractional coordinates):
V 0.000 0.000 0.000
V 0.486 0.000 0.342
Ge 0.127 0.000 0.659
Ge 0.490 0.500 0.013
Os 0.621 0.500 0.665
Os 0.991 0.500 0.336

=====

Structure and calculated powder diffraction line list of VGeOs (a structure optimized by DFT (GGA-PBE); Cu Kα).

Main lines, low angle first (10° ≤ 2θ ≤ 80°):
2θ 23.3, d = 3.811 Å, I = 280
2θ 29.2, d = 3.060 Å, I = 506
2θ 35.9, d = 2.500 Å, I = 246
2θ 39.8, d = 2.265 Å, I = 143
2θ 40.2, d = 2.245 Å, I = 413
2θ 41.3, d = 2.185 Å, I = 427
2θ 44.8, d = 2.022 Å, I = 1000
2θ 55.0, d = 1.671 Å, I = 143
2θ 67.2, d = 1.394 Å, I = 160
2θ 76.2, d = 1.249 Å, I = 205

Atomic structure:
Cell lengths 4.491, 4.558, 4.558 Å; angles 66.54, 90.00, 90.00 degrees
Atoms (fractional coordinates):
V 0.250 0.172 0.828
V 0.750 0.828 0.172
Ge 0.250 0.518 0.142
Ge 0.750 0.142 0.518
Os 0.250 0.850 0.484
Os 0.750 0.484 0.850

=====

Structure and calculated powder diffraction line list of Pa6GeP5 (a structure optimized by DFT (GGA-PBE); Cu Kα).

Main lines, low angle first (10° ≤ 2θ ≤ 80°):
2θ 27.3, d = 3.264 Å, I = 958
2θ 31.7, d = 2.827 Å, I = 1000
2θ 45.4, d = 1.999 Å, I = 745
2θ 53.8, d = 1.705 Å, I = 198
2θ 53.8, d = 1.704 Å, I = 277
2θ 56.4, d = 1.632 Å, I = 263
2θ 66.1, d = 1.413 Å, I = 123
2θ 72.9, d = 1.297 Å, I = 163
2θ 73.0, d = 1.296 Å, I = 32
2θ 75.2, d = 1.264 Å, I = 341

Atomic structure:
Cell lengths 6.921, 6.921, 6.926 Å; angles 99.59, 99.59, 119.98 degrees
Atoms (fractional coordinates):
Pa 0.075 0.415 0.746
Pa 0.244 0.244 0.253
Pa 0.415 0.075 0.746
Pa 0.585 0.925 0.254
Pa 0.756 0.756 0.747
Pa 0.925 0.585 0.254
Ge 0.500 0.500 0.000
P 0.000 0.000 0.500
P 0.167 0.833 0.000
P 0.337 0.663 0.500
P 0.663 0.337 0.500
P 0.833 0.167 0.000

=====

Structure and calculated powder diffraction line list of GePPt6Pb2 (a structure optimized by DFT (GGA-PBE); Cu Kα).

Main lines, low angle first (10° ≤ 2θ ≤ 80°):
2θ 28.5, d = 3.135 Å, I = 367
2θ 32.9, d = 2.719 Å, I = 263
2θ 34.6, d = 2.595 Å, I = 1000
2θ 35.7, d = 2.514 Å, I = 370
2θ 37.2, d = 2.420 Å, I = 312
2θ 39.4, d = 2.286 Å, I = 209
2θ 43.0, d = 2.104 Å, I = 347
2θ 43.1, d = 2.098 Å, I = 185
2θ 46.0, d = 1.974 Å, I = 324
2θ 58.1, d = 1.588 Å, I = 248

Atomic structure:
Cell lengths 6.594, 8.414, 7.126 Å; angles 90.00, 90.00, 90.00 degrees
Atoms (fractional coordinates):
Ge 0.250 0.250 0.237
Ge 0.750 0.750 0.763
P 0.250 0.750 0.243
P 0.750 0.250 0.757
Pt 0.036 0.250 0.544
Pt 0.039 0.250 0.946
Pt 0.250 0.509 0.408
Pt 0.250 0.991 0.408
Pt 0.461 0.250 0.946
Pt 0.464 0.250 0.544
Pt 0.536 0.750 0.456
Pt 0.539 0.750 0.054
Pt 0.750 0.009 0.592
Pt 0.750 0.491 0.592
Pt 0.961 0.750 0.054
Pt 0.964 0.750 0.456
Pb 0.250 0.539 0.808
Pb 0.250 0.961 0.808
Pb 0.750 0.039 0.192
Pb 0.750 0.461 0.192

=====

Structure and calculated powder diffraction line list of GePPd (a structure optimized by DFT (GGA-PBE); Cu Kα).

Main lines, low angle first (10° ≤ 2θ ≤ 80°):
2θ 17.8, d = 4.996 Å, I = 948
2θ 26.8, d = 3.331 Å, I = 1000
2θ 29.0, d = 3.076 Å, I = 782
2θ 30.7, d = 2.915 Å, I = 629
2θ 36.0, d = 2.498 Å, I = 680
2θ 38.8, d = 2.320 Å, I = 641
2θ 39.5, d = 2.282 Å, I = 541
2θ 39.6, d = 2.273 Å, I = 527
2θ 41.2, d = 2.191 Å, I = 599
2θ 48.6, d = 1.874 Å, I = 702

Atomic structure:
Cell lengths 3.233, 6.085, 6.356 Å; angles 107.03, 104.56, 105.34 degrees
Atoms (fractional coordinates):
Ge 0.000 0.000 0.000
Ge 0.211 0.933 0.503
P 0.189 0.414 0.965
P 0.867 0.508 0.232
Pd 0.216 0.678 0.751
Pd 0.773 0.184 0.375

=====

Structure and calculated powder diffraction line list of Pm7GeP5 (a structure optimized by DFT (GGA-PBE); Cu Kα).

Main lines, low angle first (10° ≤ 2θ ≤ 80°):
2θ 26.5, d = 3.367 Å, I = 270
2θ 26.9, d = 3.315 Å, I = 487
2θ 28.9, d = 3.093 Å, I = 1000
2θ 29.1, d = 3.068 Å, I = 249
2θ 30.2, d = 2.962 Å, I = 767
2θ 31.3, d = 2.858 Å, I = 682
2θ 43.7, d = 2.071 Å, I = 244
2θ 43.8, d = 2.066 Å, I = 306
2θ 44.0, d = 2.057 Å, I = 449
2θ 53.3, d = 1.718 Å, I = 362

Atomic structure:
Cell lengths 7.106, 7.106, 24.311 Å; angles 90.00, 90.00, 146.19 degrees
Atoms (fractional coordinates):
Pm 0.047 0.953 0.750
Pm 0.136 0.864 0.035
Pm 0.136 0.864 0.465
Pm 0.320 0.680 0.675
Pm 0.320 0.680 0.825
Pm 0.411 0.589 0.106
Pm 0.411 0.589 0.394
Pm 0.589 0.411 0.606
Pm 0.589 0.411 0.894
Pm 0.680 0.320 0.175
Pm 0.680 0.320 0.325
Pm 0.864 0.136 0.535
Pm 0.864 0.136 0.965
Pm 0.953 0.047 0.250
Ge 0.297 0.703 0.250
Ge 0.703 0.297 0.750
P 0.045 0.955 0.145
P 0.045 0.955 0.355
P 0.227 0.773 0.573
P 0.227 0.773 0.927
P 0.500 0.500 0.000
P 0.500 0.500 0.500
P 0.773 0.227 0.073
P 0.773 0.227 0.427
P 0.955 0.045 0.645
P 0.955 0.045 0.855

=====

Structure and calculated powder diffraction line list of Pm6Ge3P2S (a structure optimized by DFT (GGA-PBE); Cu Kα).

Main lines, low angle first (10° ≤ 2θ ≤ 80°):
2θ 25.1, d = 3.549 Å, I = 110
2θ 26.5, d = 3.364 Å, I = 200
2θ 30.3, d = 2.954 Å, I = 1000
2θ 42.4, d = 2.134 Å, I = 128
2θ 42.5, d = 2.128 Å, I = 255
2θ 44.1, d = 2.053 Å, I = 237
2θ 44.3, d = 2.045 Å, I = 117
2θ 54.6, d = 1.682 Å, I = 125
2θ 70.2, d = 1.341 Å, I = 109
2θ 72.5, d = 1.303 Å, I = 106

Atomic structure:
Cell lengths 9.467, 9.467, 8.547 Å; angles 105.90, 105.90, 24.95 degrees
Atoms (fractional coordinates):
Pm 0.003 0.003 0.245
Pm 0.330 0.330 0.425
Pm 0.336 0.336 0.907
Pm 0.664 0.664 0.093
Pm 0.670 0.670 0.575
Pm 0.997 0.997 0.755
Ge 0.166 0.166 0.835
Ge 0.500 0.500 0.500
Ge 0.834 0.834 0.165
P 0.166 0.166 0.332
P 0.834 0.834 0.668
S 0.500 0.500 0.000